# 1
Simulated XRD peak list of Ac2PmPuO6 for Cu Kα, from a PBE-relaxed structure.
Neutral-atom scattering factors, no anomalous dispersion.

Crystal structure
```
data_Ac2PmPuO6
_cell_length_a 6.134
_cell_length_b 6.340
_cell_length_c 10.778
_cell_angle_alpha 90.00
_cell_angle_beta 124.33
_cell_angle_gamma 90.00
_symmetry_space_group_name_H-M 'P 1 21/c 1'
_symmetry_Int_Tables_number 14
_symmetry_space_group_name_Hall '-P 2ybc'
loop_
_atom_site_label
_atom_site_fract_x
_atom_site_fract_y
_atom_site_fract_z
_atom_site_occupancy
Ac1 0.230 0.050 0.247 1
Pm1 0.500 0.000 0.000 1
Pu1 0.000 0.000 0.500 1
O1 0.125 0.195 0.934 1
O2 0.226 0.698 0.925 1
O3 0.381 0.065 0.750 1
```

Main lines, in order of falling intensity (2θ from 10° to 80°):
d 3.139, intensity 100, (1 1 1)
d 3.125, intensity 100, (1 1 -3)
d 1.822, intensity 52, (0 2 4)
d 3.067, intensity 45, (2 0 -2)
d 3.170, intensity 43, (0 2 0)
d 2.204, intensity 38, (2 2 -2)
d 2.225, intensity 23, (0 0 4)
d 1.779, intensity 23, (3 1 -5)
d 1.787, intensity 22, (3 1 -1)
d 1.562, intensity 16, (2 2 -6)

***

# 2
Simulated XRD peak list of AcPmSbO2 for Cu Kα, from a PBE-relaxed structure.
Neutral-atom scattering factors, no anomalous dispersion.

Crystal structure
```
data_AcPmSbO2
_cell_length_a 4.075
_cell_length_b 4.075
_cell_length_c 14.174
_cell_angle_alpha 90.00
_cell_angle_beta 90.00
_cell_angle_gamma 90.00
_symmetry_space_group_name_H-M 'I 4 m m'
_symmetry_Int_Tables_number 107
_symmetry_space_group_name_Hall 'I 4 -2'
loop_
_atom_site_label
_atom_site_fract_x
_atom_site_fract_y
_atom_site_fract_z
_atom_site_occupancy
Ac1 0.000 0.000 0.000 1
Pm1 0.000 0.000 0.325 1
Sb1 0.000 0.000 0.667 1
O1 0.000 0.500 0.405 1
```

Main lines, in order of falling intensity (2θ from 10° to 80°):
d 3.086, intensity 100, (1 0 3)
d 2.882, intensity 36, (1 1 0)
d 1.700, intensity 36, (2 1 3)
d 1.827, intensity 25, (1 1 6)
d 2.038, intensity 18, (2 0 0)
d 1.543, intensity 11, (2 0 6)
d 1.469, intensity 11, (1 0 9)
d 2.362, intensity 10, (0 0 6)
d 1.306, intensity 7, (3 0 3)
d 3.917, intensity 7, (1 0 1)

***

# 3
Simulated XRD peak list of Ac2PmSbO8 for Cu Kα, from a PBE-relaxed structure.
Neutral-atom scattering factors, no anomalous dispersion.

Crystal structure
```
data_Ac2PmSbO8
_cell_length_a 4.510
_cell_length_b 7.329
_cell_length_c 5.664
_cell_angle_alpha 90.00
_cell_angle_beta 92.72
_cell_angle_gamma 90.00
_symmetry_space_group_name_H-M 'P 1 2/m 1'
_symmetry_Int_Tables_number 10
_symmetry_space_group_name_Hall '-P 2y'
loop_
_atom_site_label
_atom_site_fract_x
_atom_site_fract_y
_atom_site_fract_z
_atom_site_occupancy
Ac1 0.000 0.247 0.000 1
Pm1 0.500 0.500 0.500 1
Sb1 0.500 0.000 0.500 1
O1 0.057 0.500 0.253 1
O2 0.070 0.000 0.385 1
O3 0.457 0.204 0.736 1
```

Main lines, in order of falling intensity (2θ from 10° to 80°):
d 3.075, intensity 100, (0 2 1)
d 3.609, intensity 68, (1 0 -1)
d 3.446, intensity 59, (1 0 1)
d 2.843, intensity 53, (1 2 0)
d 2.036, intensity 38, (1 2 -2)
d 1.976, intensity 32, (1 2 2)
d 2.829, intensity 28, (0 0 2)
d 2.253, intensity 26, (2 0 0)
d 1.840, intensity 22, (2 2 -1)
d 1.795, intensity 21, (2 2 1)

***

# 4
Simulated XRD peak list of AcPmSb2O8 for Cu Kα, from a PBE-relaxed structure.
Neutral-atom scattering factors, no anomalous dispersion.

Crystal structure
```
data_AcPmSb2O8
_cell_length_a 7.667
_cell_length_b 7.667
_cell_length_c 7.000
_cell_angle_alpha 90.00
_cell_angle_beta 90.00
_cell_angle_gamma 90.00
_symmetry_space_group_name_H-M 'I -4 m 2'
_symmetry_Int_Tables_number 119
_symmetry_space_group_name_Hall 'I -4 -2'
loop_
_atom_site_label
_atom_site_fract_x
_atom_site_fract_y
_atom_site_fract_z
_atom_site_occupancy
Ac1 0.000 0.000 0.000 1
Pm1 0.000 0.500 0.750 1
Sb1 0.000 0.000 0.500 1
Sb2 0.000 0.500 0.250 1
O1 0.000 0.189 0.678 1
O2 0.000 0.321 0.062 1
```

Main lines, in order of falling intensity (2θ from 10° to 80°):
d 3.834, intensity 100, (2 0 0)
d 2.941, intensity 83, (1 1 2)
d 1.993, intensity 67, (3 1 2)
d 2.711, intensity 27, (2 2 0)
d 1.606, intensity 19, (3 3 2)
d 1.714, intensity 17, (4 2 0)
d 1.382, intensity 16, (5 1 2)
d 1.917, intensity 16, (4 0 0)
d 1.592, intensity 15, (2 0 4)
d 1.231, intensity 13, (5 3 2)

***

# 5
Simulated XRD peak list of AcPmTcO6 for Cu Kα, from a PBE-relaxed structure.
Neutral-atom scattering factors, no anomalous dispersion.

Crystal structure
```
data_AcPmTcO6
_cell_length_a 5.6649
_cell_length_b 5.6649
_cell_length_c 5.2206
_cell_angle_alpha 90.00
_cell_angle_beta 90.00
_cell_angle_gamma 120.00
_symmetry_space_group_name_H-M 'P 3 1 2'
_symmetry_Int_Tables_number 149
_symmetry_space_group_name_Hall 'P 3 2'
loop_
_atom_site_label
_atom_site_fract_x
_atom_site_fract_y
_atom_site_fract_z
_atom_site_occupancy
Ac1 0.0000 0.0000 0.0000 1
Pm1 0.3333 0.6667 0.5000 1
Tc1 0.6667 0.3333 0.5000 1
O1 0.3842 0.0497 0.7126 1
```

Main lines, in order of falling intensity (2θ from 10° to 80°):
d 3.575, intensity 100, (1 0 1)
d 2.832, intensity 40, (1 1 0)
d 1.919, intensity 38, (2 -1 2)
d 2.220, intensity 27, (2 0 1)
d 1.747, intensity 27, (3 -1 1)
d 1.635, intensity 12, (3 0 0)
d 1.317, intensity 11, (3 1 1)
d 1.640, intensity 11, (1 0 3)
d 1.269, intensity 10, (2 1 3)
d 1.386, intensity 9, (3 0 2)

***

# 6
Simulated XRD peak list of AcPmU2O8 for Cu Kα, from a PBE-relaxed structure.
Neutral-atom scattering factors, no anomalous dispersion.

Crystal structure
```
data_AcPmU2O8
_cell_length_a 7.636
_cell_length_b 7.636
_cell_length_c 7.485
_cell_angle_alpha 90.00
_cell_angle_beta 90.00
_cell_angle_gamma 90.00
_symmetry_space_group_name_H-M 'I -4 m 2'
_symmetry_Int_Tables_number 119
_symmetry_space_group_name_Hall 'I -4 -2'
loop_
_atom_site_label
_atom_site_fract_x
_atom_site_fract_y
_atom_site_fract_z
_atom_site_occupancy
Ac1 0.000 0.000 0.000 1
Pm1 0.000 0.500 0.750 1
U1 0.000 0.000 0.500 1
U2 0.000 0.500 0.250 1
O1 0.000 0.187 0.693 1
O2 0.000 0.326 0.047 1
```

Main lines, in order of falling intensity (2θ from 10° to 80°):
d 3.818, intensity 100, (2 0 0)
d 3.076, intensity 97, (1 1 2)
d 2.029, intensity 74, (3 1 2)
d 2.700, intensity 31, (2 2 0)
d 1.622, intensity 21, (3 3 2)
d 1.680, intensity 20, (2 0 4)
d 1.390, intensity 19, (5 1 2)
d 1.708, intensity 18, (4 2 0)
d 1.909, intensity 16, (4 0 0)
d 1.261, intensity 15, (4 2 4)